For Sm2DyPaCo2, a cell relaxed with PBE gives the theoretical PXRD pattern in this record (Cu Kα).
Lines closer than 0.1° are merged.

The 6 most intense peaks (2θ = 15–90°), low angle first:
2theta  d/Å  Rel. int.
27.98  3.189  300
29.60  3.018  958
29.92  2.987  1000
33.71  2.659  638
37.37  2.406  984
47.33  1.921  294

Cell: 6.8522 12.7575 6.7599 Å, 90.00 90.00 90.00°
Space group Ibam (No. 72)
One atom of each set of equivalent atoms:
Sm  0.2115  0.1999  0.0000
Dy  0.0000  0.5000  0.2500
Pa  0.0000  0.0000  0.2500
Co  0.2078  0.0867  0.5000